Entry 1:
This entry pairs a crystal structure of La5Nd3Ag2 with its computed XRD peak list. Radiation: Cu Kα X-rays. Structure: the GGA-PBE geometry in Alexandria.
Neutral-atom scattering factors, no anomalous dispersion.

Most intense lines, 2θ from 10° to 90°, in order of rising 2θ:
- 26.40 deg, intensity 45.0, (3 2 1)
- 28.47 deg, intensity 100.0, (2 0 2)
- 28.67 deg, intensity 94.4, (2 4 0)
- 36.28 deg, intensity 93.6, (0 4 2)
- 37.21 deg, intensity 46.6, (5 2 1)
- 60.48 deg, intensity 24.7, (2 4 4)

Atomic structure:
a b c (Å): 13.8437 13.9473 7.0324
angles (deg): 90.00 90.00 90.00
Space group Ibam (No. 72)
Symmetry-distinct sites (fractional):
La  0.0000  0.0000  0.2500
La  0.0000  0.2432  0.2500
La  0.1667  0.1294  0.0000
Nd  0.0000  0.5000  0.2500
Nd  0.2388  0.3875  0.0000
Ag  0.1291  0.3790  0.5000

---

Entry 2:
This entry pairs a crystal structure of Li2TbP2Pt2 with its computed XRD peak list. Radiation: Cu Kα X-rays. Structure: the GGA-PBE geometry in Alexandria.
Neutral-atom scattering factors, no anomalous dispersion.

Most intense lines, 2θ from 10° to 90°, in order of rising 2θ:
- 23.02 deg, intensity 27.6, (0 0 6)
- 26.24 deg, intensity 78.1, (0 1 2)
- 31.73 deg, intensity 95.3, (0 1 5)
- 37.12 deg, intensity 100.0, (1 0 7)
- 44.16 deg, intensity 76.3, (1 1 0)
- 66.49 deg, intensity 36.9, (1 1 12)

Atomic structure:
a b c (Å): 4.1015 4.1015 23.1816
angles (deg): 90.00 90.00 120.00
Space group R-3m (No. 166, hexagonal axes)
Symmetry-distinct sites (fractional):
Li  0.0000  0.0000  0.1428
Tb  0.0000  0.0000  0.0000
P  0.0000  0.0000  0.2531
Pt  0.0000  0.0000  0.4232